Computed PXRD pattern of InAg2Au6 for CuKα, from a PBE-relaxed structure.
Kinematic intensities with the Lorentz-polarization factor, no thermal factor.

Principal peaks in the range 10° ≤ 2θ ≤ 90°, in order of rising 2θ:
hkl 3 0 1, 2.418 Å, 37.2°, rel. 100; hkl 0 0 2, 2.152 Å, 42.0°, rel. 18; hkl 3 3 0, 2.066 Å, 43.8°, rel. 31; hkl 3 3 2, 1.491 Å, 62.3°, rel. 22; hkl 6 0 0, 1.461 Å, 63.7°, rel. 10; hkl 3 0 3, 1.288 Å, 73.5°, rel. 14; hkl 6 3 1, 1.251 Å, 76.1°, rel. 24; hkl 6 0 2, 1.209 Å, 79.2°, rel. 11

Cell and atoms:
a b c (Å): 8.767 8.767 4.304
angles (deg): 90.00 90.00 90.00
Space group P4_2/mnm (No. 136)
Symmetry-distinct sites (fractional):
In 0.000 0.000 0.000 [2 per cell]
Ag 0.173 0.173 0.500 [4 per cell]
Au 0.004 0.333 0.000 [8 per cell]
Au 0.162 0.838 0.500 [4 per cell]

Computed PXRD pattern of KCrOs2 for CuKα, from a PBE-relaxed structure.
Kinematic intensities with the Lorentz-polarization factor, no thermal factor.

Principal peaks in the range 10° ≤ 2θ ≤ 90°, in order of rising 2θ:
hkl 0 0 2, 4.575 Å, 19.4°, rel. 27; hkl 0 0 3, 3.050 Å, 29.3°, rel. 48; hkl 1 0 0, 2.743 Å, 32.7°, rel. 49; hkl 1 0 2, 2.352 Å, 38.3°, rel. 100; hkl 1 0 3, 2.039 Å, 44.4°, rel. 73; hkl 1 1 0, 1.939 Å, 46.8°, rel. 50; hkl 1 1 3, 1.637 Å, 56.2°, rel. 32; hkl 2 1 3, 1.138 Å, 85.3°, rel. 23

Cell and atoms:
a b c (Å): 2.743 2.743 9.151
angles (deg): 90.00 90.00 90.00
Space group P4/mmm (No. 123)
Symmetry-distinct sites (fractional):
K 0.000 0.000 0.000 [1 per cell]
Cr 0.000 0.000 0.500 [1 per cell]
Os 0.500 0.500 0.315 [2 per cell]